Structure and simulated powder XRD pattern of Ba3P4O13 (a PBE-relaxed structure; Cu Kα (λ = 1.5418 Å)).

Cell and atoms:
Lattice parameters (Å, degrees): 7.671 8.807 10.752 107.88 103.98 102.91
Positions (direct):
Ba 0.000 0.000 0.000
Ba 0.138 0.226 0.731
Ba 0.350 0.771 0.772
Ba 0.500 0.000 0.500
Ba 0.650 0.229 0.228
Ba 0.862 0.774 0.269
P 0.164 0.538 0.369
P 0.171 0.200 0.361
P 0.340 0.817 0.147
P 0.345 0.477 0.134
P 0.655 0.523 0.866
P 0.660 0.183 0.853
P 0.829 0.800 0.639
P 0.836 0.462 0.631
O 0.034 0.889 0.741
O 0.039 0.510 0.722
O 0.190 0.402 0.436
O 0.202 0.831 0.227
O 0.203 0.141 0.482
O 0.212 0.307 0.029
O 0.244 0.709 0.487
O 0.303 0.613 0.070
O 0.304 0.534 0.279
O 0.307 0.879 0.028
O 0.319 0.198 0.289
O 0.447 0.503 0.823
O 0.451 0.104 0.757
O 0.549 0.896 0.243
O 0.553 0.497 0.177
O 0.681 0.802 0.711
O 0.693 0.121 0.972
O 0.696 0.466 0.721
O 0.697 0.387 0.930
O 0.756 0.291 0.513
O 0.788 0.693 0.971
O 0.797 0.859 0.518
O 0.798 0.169 0.773
O 0.810 0.598 0.564
O 0.961 0.490 0.278
O 0.966 0.111 0.259

Principal peaks in the range 2θ = 15–90°, in order of rising 2θ:
2θ (°), I_rel
22.96, 24.0
24.11, 57.4
24.89, 43.7
26.36, 100.0
28.68, 30.2
30.87, 23.8

Structure and simulated powder XRD pattern of Ba2P2O7 (a PBE-relaxed structure; Cu Kα (λ = 1.5418 Å)).

Cell and atoms:
Lattice parameters (Å, degrees): 7.294 9.482 9.482 119.83 90.00 90.00
Positions (direct):
Ba 0.000 0.000 0.000
Ba 0.000 0.276 0.569
Ba 0.000 0.569 0.276
Ba 0.500 0.294 0.904
Ba 0.500 0.678 0.678
Ba 0.500 0.904 0.294
P 0.219 0.624 0.962
P 0.219 0.962 0.624
P 0.284 0.291 0.291
P 0.716 0.291 0.291
P 0.781 0.624 0.962
P 0.781 0.962 0.624
O 0.000 0.009 0.648
O 0.000 0.648 0.009
O 0.202 0.440 0.440
O 0.238 0.130 0.285
O 0.238 0.285 0.130
O 0.247 0.470 0.798
O 0.247 0.798 0.470
O 0.277 0.778 0.959
O 0.277 0.959 0.778
O 0.300 0.103 0.610
O 0.300 0.610 0.103
O 0.500 0.326 0.326
O 0.700 0.103 0.610
O 0.700 0.610 0.103
O 0.723 0.778 0.959
O 0.723 0.959 0.778
O 0.753 0.470 0.798
O 0.753 0.798 0.470
O 0.762 0.130 0.285
O 0.762 0.285 0.130
O 0.798 0.440 0.440

Principal peaks in the range 2θ = 15–90°, in order of rising 2θ:
2θ (°), I_rel
22.35, 100.0
24.87, 23.5
30.93, 37.5
32.69, 25.2
38.05, 24.9
41.74, 22.0

Structure and simulated powder XRD pattern of Ba2P2O7 (a PBE-relaxed structure; Cu Kα (λ = 1.5418 Å)).

Cell and atoms:
Lattice parameters (Å, degrees): 9.424 5.691 14.033 90.00 90.00 90.00
Positions (direct):
Ba 0.139 0.250 0.082
Ba 0.160 0.250 0.756
Ba 0.340 0.750 0.256
Ba 0.361 0.750 0.582
Ba 0.639 0.250 0.418
Ba 0.660 0.250 0.744
Ba 0.840 0.750 0.244
Ba 0.861 0.750 0.918
P 0.047 0.250 0.315
P 0.219 0.750 0.958
P 0.281 0.250 0.458
P 0.453 0.750 0.815
P 0.547 0.250 0.185
P 0.719 0.750 0.542
P 0.781 0.250 0.042
P 0.953 0.750 0.685
O 0.095 0.027 0.263
O 0.095 0.473 0.263
O 0.113 0.750 0.668
O 0.117 0.250 0.422
O 0.145 0.527 0.920
O 0.145 0.973 0.920
O 0.228 0.750 0.067
O 0.272 0.250 0.567
O 0.355 0.027 0.420
O 0.355 0.473 0.420
O 0.383 0.750 0.922
O 0.387 0.250 0.168
O 0.405 0.527 0.763
O 0.405 0.973 0.763
O 0.595 0.027 0.237
O 0.595 0.473 0.237
O 0.613 0.750 0.832
O 0.617 0.250 0.078
O 0.645 0.527 0.580
O 0.645 0.973 0.580
O 0.728 0.750 0.433
O 0.772 0.250 0.933
O 0.855 0.027 0.080
O 0.855 0.473 0.080
O 0.883 0.750 0.578
O 0.887 0.250 0.332
O 0.905 0.527 0.737
O 0.905 0.973 0.737

Principal peaks in the range 2θ = 15–90°, in order of rising 2θ:
2θ (°), I_rel
24.53, 82.6
24.64, 100.0
26.86, 38.0
31.43, 55.4
41.80, 69.6
46.18, 33.5

Structure and simulated powder XRD pattern of Ba3PO2 (a PBE-relaxed structure; Cu Kα (λ = 1.5418 Å)).

Cell and atoms:
Lattice parameters (Å, degrees): 7.580 7.580 7.657 107.30 107.30 55.76
Positions (direct):
Ba 0.013 0.987 0.750
Ba 0.221 0.381 0.879
Ba 0.381 0.221 0.379
Ba 0.619 0.779 0.621
Ba 0.779 0.619 0.121
Ba 0.987 0.013 0.250
P 0.492 0.508 0.250
P 0.508 0.492 0.750
O 0.098 0.223 0.078
O 0.223 0.098 0.578
O 0.777 0.902 0.422
O 0.902 0.777 0.922

Principal peaks in the range 2θ = 15–90°, in order of rising 2θ:
2θ (°), I_rel
24.62, 100.0
25.13, 70.3
26.49, 94.8
30.74, 96.1
40.10, 64.0
41.55, 54.0

Structure and simulated powder XRD pattern of BaP2PdO (a PBE-relaxed structure; Cu Kα (λ = 1.5418 Å)).

Cell and atoms:
Lattice parameters (Å, degrees): 4.586 4.586 4.980 90.00 90.00 90.00
Positions (direct):
Ba 0.000 0.000 0.000
P 0.000 0.500 0.500
P 0.500 0.000 0.500
Pd 0.500 0.500 0.500
O 0.500 0.500 0.000

Principal peaks in the range 2θ = 15–90°, in order of rising 2θ:
2θ (°), I_rel
26.42, 100.0
27.51, 34.4
36.07, 22.3
39.29, 34.9
47.97, 39.5
54.40, 26.1

Structure and simulated powder XRD pattern of BaP2PdO7 (a PBE-relaxed structure; Cu Kα (λ = 1.5418 Å)).

Cell and atoms:
Lattice parameters (Å, degrees): 14.067 6.270 7.719 90.00 90.00 90.00
Positions (direct):
Ba 0.248 0.250 0.250
Ba 0.252 0.750 0.750
Ba 0.748 0.250 0.250
Ba 0.752 0.750 0.750
P 0.100 0.750 0.204
P 0.105 0.250 0.790
P 0.395 0.750 0.290
P 0.400 0.250 0.704
P 0.600 0.750 0.296
P 0.605 0.250 0.710
P 0.895 0.750 0.210
P 0.900 0.250 0.796
Pd 0.000 0.000 0.500
Pd 0.000 0.500 0.500
Pd 0.500 0.000 0.000
Pd 0.500 0.500 0.000
O 0.003 0.250 0.891
O 0.103 0.543 0.316
O 0.103 0.957 0.316
O 0.107 0.044 0.677
O 0.107 0.456 0.677
O 0.177 0.750 0.069
O 0.184 0.250 0.921
O 0.316 0.750 0.421
O 0.323 0.250 0.569
O 0.393 0.544 0.177
O 0.393 0.956 0.177
O 0.397 0.043 0.816
O 0.397 0.457 0.816
O 0.497 0.750 0.391
O 0.503 0.250 0.609
O 0.603 0.543 0.184
O 0.603 0.957 0.184
O 0.607 0.044 0.823
O 0.607 0.456 0.823
O 0.677 0.750 0.431
O 0.684 0.250 0.579
O 0.816 0.750 0.079
O 0.823 0.250 0.931
O 0.893 0.544 0.323
O 0.893 0.956 0.323
O 0.897 0.043 0.684
O 0.897 0.457 0.684
O 0.997 0.750 0.109

Principal peaks in the range 2θ = 15–90°, in order of rising 2θ:
2θ (°), I_rel
22.21, 100.0
26.34, 43.8
31.24, 39.7
31.41, 85.4
36.94, 23.3
45.29, 49.7

Repeat the first record exactly.
Structure and simulated powder XRD pattern of Ba3P4O13 (a PBE-relaxed structure; Cu Kα (λ = 1.5418 Å)).

Cell and atoms:
Lattice parameters (Å, degrees): 7.671 8.807 10.752 107.88 103.98 102.91
Positions (direct):
Ba 0.000 0.000 0.000
Ba 0.138 0.226 0.731
Ba 0.350 0.771 0.772
Ba 0.500 0.000 0.500
Ba 0.650 0.229 0.228
Ba 0.862 0.774 0.269
P 0.164 0.538 0.369
P 0.171 0.200 0.361
P 0.340 0.817 0.147
P 0.345 0.477 0.134
P 0.655 0.523 0.866
P 0.660 0.183 0.853
P 0.829 0.800 0.639
P 0.836 0.462 0.631
O 0.034 0.889 0.741
O 0.039 0.510 0.722
O 0.190 0.402 0.436
O 0.202 0.831 0.227
O 0.203 0.141 0.482
O 0.212 0.307 0.029
O 0.244 0.709 0.487
O 0.303 0.613 0.070
O 0.304 0.534 0.279
O 0.307 0.879 0.028
O 0.319 0.198 0.289
O 0.447 0.503 0.823
O 0.451 0.104 0.757
O 0.549 0.896 0.243
O 0.553 0.497 0.177
O 0.681 0.802 0.711
O 0.693 0.121 0.972
O 0.696 0.466 0.721
O 0.697 0.387 0.930
O 0.756 0.291 0.513
O 0.788 0.693 0.971
O 0.797 0.859 0.518
O 0.798 0.169 0.773
O 0.810 0.598 0.564
O 0.961 0.490 0.278
O 0.966 0.111 0.259

Principal peaks in the range 2θ = 15–90°, in order of rising 2θ:
2θ (°), I_rel
22.96, 24.0
24.11, 57.4
24.89, 43.7
26.36, 100.0
28.68, 30.2
30.87, 23.8

- What is the formula in the fifth record?
  BaP2PdO